This entry pairs a crystal structure of Sc2InI6 with its simulated powder XRD pattern. Radiation: a wavelength of 1.5418 Å. Structure: a structure optimized by DFT (PBE).

Structural model:
```
9
Lattice="7.445 0.000 0.000 -3.722 6.447 0.000 0.000 0.000 7.889" Properties=species:S:1:pos:R:3 pbc="T T T"
Sc 0.000 4.298 0.000
Sc 3.722 2.149 0.000
In 0.000 0.000 3.945
I -1.337 2.315 1.708
I -2.386 4.132 6.182
I 2.674 0.000 1.708
I 1.337 2.315 6.182
I 4.771 0.000 6.182
I 2.386 4.132 1.708
```

Most intense lines, 2θ = 10–90°, by angle:
d (Å)	I (rel.)
4.992	20
3.366	100
2.707	49
2.149	48
1.811	14
1.743	14

***

This entry pairs a crystal structure of V6CrW with its simulated powder XRD pattern. Radiation: a wavelength of 1.5418 Å. Structure: a structure optimized by DFT (PBE).

Structural model:
```
8
Lattice="3.014 -4.271 0.000 3.014 4.271 0.000 0.000 0.000 4.216" Properties=species:S:1:pos:R:3 pbc="T T T"
V 1.507 2.135 2.108
V 1.457 0.000 0.000
V 3.014 2.142 0.000
V 1.507 -2.135 2.108
V 3.014 -2.142 0.000
V 4.572 0.000 0.000
Cr 0.000 0.000 2.108
W 3.014 0.000 2.108
```

Most intense lines, 2θ = 10–90°, by angle:
d (Å)	I (rel.)
4.926	22
3.203	19
2.135	25
2.127	100
2.108	24
1.231	23

***

This entry pairs a crystal structure of In6Hg12I with its simulated powder XRD pattern. Radiation: a wavelength of 1.5418 Å. Structure: a structure optimized by DFT (PBE).

Structural model:
```
19
Lattice="5.732 -5.802 0.000 5.732 5.802 0.000 -2.692 0.000 8.382" Properties=species:S:1:pos:R:3 pbc="T T T"
In 2.580 3.244 5.333
In 1.270 0.000 1.071
In 6.193 3.244 3.049
In 2.580 -3.244 5.333
In 7.503 0.000 7.311
In 6.193 -3.244 3.049
Hg 0.406 1.551 7.361
Hg 5.732 2.974 0.000
Hg 3.635 1.602 2.501
Hg 2.284 0.000 5.189
Hg 0.406 -1.551 7.361
Hg 5.138 1.602 5.881
Hg 3.635 -1.602 2.501
Hg 8.367 1.551 1.021
Hg 6.488 0.000 3.193
Hg 5.138 -1.602 5.881
Hg 5.732 -2.974 0.000
Hg 8.367 -1.551 1.021
I -1.346 0.000 4.191
```

Most intense lines, 2θ = 10–90°, by angle:
d (Å)	I (rel.)
2.920	61
2.867	59
2.841	42
2.706	55
2.621	70
2.554	100

***

Q: Number 2 is which compound?
A: V6CrW